Starting from a DFT-relaxed cell (GGA+U, the Materials Project), the powder diffraction line list of Sr2CaCrO6 was calculated for a wavelength of 1.5418 Å.

```
data_Sr2CaCrO6
_cell_length_a 8.155
_cell_length_b 8.155
_cell_length_c 8.155
_cell_angle_alpha 90.00
_cell_angle_beta 90.00
_cell_angle_gamma 90.00
_symmetry_space_group_name_H-M 'F m -3 m'
_symmetry_Int_Tables_number 225
_symmetry_space_group_name_Hall '-F 4 2 3'
loop_
_atom_site_label
_atom_site_type_symbol
_atom_site_fract_x
_atom_site_fract_y
_atom_site_fract_z
_atom_site_occupancy
Sr1 Sr 0.250 0.250 0.250 1
Ca1 Ca 0.000 0.000 0.000 1
Cr1 Cr 0.000 0.000 0.500 1
O1 O 0.000 0.000 0.274 1
```

Most intense lines, 2θ = 5–70°, in order of falling intensity:
2θ = 31.02°, intensity 100, hkl 2 2 0; 2θ = 44.44°, intensity 40, hkl 4 0 0; 2θ = 55.18°, intensity 37, hkl 4 2 2; 2θ = 64.65°, intensity 22, hkl 4 4 0; 2θ = 38.23°, intensity 20, hkl 2 2 2; 2θ = 21.80°, intensity 3, hkl 2 0 0